[1]
Diffraction record for Ac2SmRh2. The PXRD pattern is simulated, not measured: it uses a crystal structure in Alexandria, relaxed with PBE and a wavelength of 1.5418 Å.

```
10
Lattice="2.098 -6.930 0.000 2.098 6.930 0.000 0.000 0.000 10.159" Properties=species:S:1:pos:R:3 pbc="T T T"
Ac 2.098 4.971 5.080
Ac 2.098 4.960 1.320
Ac 2.098 -4.960 6.400
Ac 2.098 -4.971 0.000
Sm 2.098 1.335 3.202
Sm 2.098 -1.335 8.282
Rh 2.098 3.647 8.283
Rh 2.098 -0.004 0.665
Rh 2.098 0.004 5.744
Rh 2.098 -3.647 3.203
```

Principal peaks in the range 2θ from 5° to 70°, most intense first:
two_theta	Rel. int.
29.35	100
28.74	80
33.83	65
30.08	64
42.99	61
34.65	48

[2]
Diffraction record for Ce4PmSi4. The PXRD pattern is simulated, not measured: it uses a crystal structure in Alexandria, relaxed with PBE and a wavelength of 1.5418 Å.

```
18
Lattice="8.762 0.000 0.000 0.000 8.762 0.000 0.000 0.000 6.041" Properties=species:S:1:pos:R:3 pbc="T T T"
Ce 0.505 5.609 0.545
Ce 1.228 8.257 3.566
Ce 3.153 4.886 3.566
Ce 3.876 7.534 0.545
Ce 4.886 1.228 5.497
Ce 5.609 3.876 2.476
Ce 7.534 0.505 2.476
Ce 8.257 3.153 5.497
Pm 2.191 2.191 1.510
Pm 6.572 6.572 4.531
Si 0.252 5.424 3.568
Si 1.043 8.510 0.548
Si 3.338 4.634 0.548
Si 4.129 7.719 3.568
Si 4.634 1.043 2.473
Si 5.424 4.129 5.494
Si 7.719 0.252 5.494
Si 8.510 3.338 2.473
```

Principal peaks in the range 2θ from 5° to 70°, most intense first:
two_theta	Rel. int.
32.31	100
27.12	75
20.53	42
46.33	41
31.32	37
43.08	24

[3]
Diffraction record for Pr5MgGa2. The PXRD pattern is simulated, not measured: it uses a crystal structure in Alexandria, relaxed with PBE and a wavelength of 1.5418 Å.

```
16
Lattice="-3.963 3.963 7.823 3.963 -3.963 7.823 3.963 3.963 -7.823" Properties=species:S:1:pos:R:3 pbc="T T T"
Pr 0.000 0.000 0.000
Pr 5.313 1.350 -2.235
Pr 1.350 2.612 -2.235
Pr 5.313 1.350 2.235
Pr 1.350 2.612 2.235
Pr 0.000 0.000 7.823
Pr 2.612 1.350 5.588
Pr -1.350 2.612 5.588
Pr 2.612 1.350 10.058
Pr -1.350 2.612 10.058
Mg 0.000 0.000 3.911
Mg 0.000 0.000 11.734
Ga 3.031 0.932 0.000
Ga 3.031 -0.932 7.823
Ga 0.932 4.894 0.000
Ga 0.932 3.031 7.823
```

Principal peaks in the range 2θ from 5° to 70°, most intense first:
two_theta	Rel. int.
30.49	100
32.16	40
35.83	36
25.77	18
54.43	17
50.61	16

[4]
Diffraction record for BaCdFe2Cl8. The PXRD pattern is simulated, not measured: it uses a crystal structure in Alexandria, relaxed with PBE and a wavelength of 1.5418 Å.

```
12
Lattice="7.268 0.000 0.000 -3.634 6.294 0.000 0.000 0.000 8.595" Properties=species:S:1:pos:R:3 pbc="T T T"
Ba 0.000 0.000 0.000
Cd 0.000 0.000 4.298
Fe 0.000 4.196 1.802
Fe 3.634 2.098 6.793
Cl 0.000 2.008 2.493
Cl -1.895 5.290 2.493
Cl 1.739 1.004 6.103
Cl 0.000 4.196 8.178
Cl 3.634 2.098 0.418
Cl 1.895 5.290 2.493
Cl 5.528 1.004 6.103
Cl 3.634 4.286 6.103
```

Principal peaks in the range 2θ from 5° to 70°, most intense first:
two_theta	Rel. int.
14.07	100
24.50	95
35.35	77
17.46	70
25.09	67
32.26	48

[5]
Diffraction record for Nd2DyC2I2. The PXRD pattern is simulated, not measured: it uses a crystal structure in Alexandria, relaxed with PBE and a wavelength of 1.5418 Å.

```
14
Lattice="4.519 0.000 0.000 0.000 4.519 0.000 0.000 0.000 19.693" Properties=species:S:1:pos:R:3 pbc="T T T"
Nd 0.000 0.000 1.574
Nd 0.000 0.000 18.120
Nd 2.260 2.260 8.273
Nd 2.260 2.260 11.420
Dy 0.000 0.000 9.847
Dy 2.260 2.260 0.000
C 0.000 2.260 0.000
C 0.000 2.260 9.847
C 2.260 0.000 0.000
C 2.260 0.000 9.847
I 0.000 0.000 6.607
I 0.000 0.000 13.086
I 2.260 2.260 3.240
I 2.260 2.260 16.454
```

Principal peaks in the range 2θ from 5° to 70°, most intense first:
two_theta	Rel. int.
27.92	100
30.10	91
8.98	70
37.66	65
56.03	49
39.90	43

[6]
Diffraction record for Sr2ZnIn2Hg4. The PXRD pattern is simulated, not measured: it uses a crystal structure in Alexandria, relaxed with PBE and a wavelength of 1.5418 Å.

```
9
Lattice="-3.564 3.564 4.869 3.564 -3.564 4.869 3.564 3.564 -4.869" Properties=species:S:1:pos:R:3 pbc="T T T"
Sr 3.564 0.000 2.434
Sr 0.000 3.564 2.434
Zn 0.000 0.000 0.000
In 0.000 0.000 2.810
In 0.000 0.000 6.928
Hg 1.924 1.924 0.000
Hg 1.640 -1.640 4.869
Hg -1.640 1.640 4.869
Hg 1.640 1.640 4.869
```

Principal peaks in the range 2θ from 5° to 70°, most intense first:
two_theta	Rel. int.
31.10	100
35.62	45
52.24	25
61.18	24
36.92	19
18.22	17